# HoAl2WO8
Theoretical powder diffraction line list, Cu Kα. Input: a PBE+U-relaxed structure.
Kinematic intensities with the Lorentz-polarization factor, no thermal factor.

Main lines, low angle first (2θ from 15° to 90°):
d 4.601, rel. 1000; d 3.267, rel. 519; d 3.240, rel. 471; d 3.162, rel. 228; d 2.606, rel. 786; d 2.263, rel. 348; d 1.729, rel. 352; d 1.721, rel. 309

Atomic structure:
Cell: 4.601 4.601 6.325 Å, 90.00 90.00 90.47°
Element x y z (fractional)
Ho 0.000 0.000 0.000
Al 0.500 0.500 0.261
Al 0.500 0.500 0.739
W 0.000 0.000 0.500
O 0.208 0.208 0.281
O 0.208 0.208 0.719
O 0.303 0.697 0.500
O 0.334 0.666 0.000
O 0.666 0.334 0.000
O 0.697 0.303 0.500
O 0.792 0.792 0.281
O 0.792 0.792 0.719